This entry pairs a crystal structure of Co6ReNi23 with its theoretical powder X-ray diffraction pattern. Radiation: copper Kα. Structure: a cell relaxed with PBE.
Neutral-atom scattering factors, no anomalous dispersion.

Crystal structure
a b c (Å): 11.107 11.107 11.107
angles (deg): 90.00 90.00 90.00
Space group Fm-3m (No. 225)
One atom of each set of equivalent atoms:
Co 0.000 0.000 0.245 (multiplicity 24)
Re 0.000 0.000 0.000 (multiplicity 4)
Ni 0.000 0.000 0.500 (multiplicity 4)
Ni 0.000 0.250 0.250 (multiplicity 24)
Ni 0.128 0.128 0.372 (multiplicity 32)
Ni 0.135 0.135 0.135 (multiplicity 32)

Largest 10 diffraction maxima, low angle first, 2θ = 5–70°:
2θ (°)	d/Å	intensity
13.8	6.413	4
16.0	5.554	5
26.6	3.349	3
27.8	3.206	5
36.2	2.484	11
42.3	2.138	3
46.2	1.964	100
49.2	1.851	4
67.5	1.388	14
69.8	1.347	4